# Li2MnVP4O14
Theoretical powder XRD pattern, Cu Kα (λ = 1.5418 Å). Input: a structure optimized by DFT (PBE+U).

Largest 10 diffraction maxima, sorted by position, 10 to 90 degrees two-theta:
- d = 5.219 Å, I 100, hkl 1 1 0
- d = 4.023 Å, I 20, hkl 0 1 2
- d = 3.978 Å, I 44, hkl 1 1 -2
- d = 3.538 Å, I 19, hkl 1 2 0
- d = 3.322 Å, I 20, hkl 1 0 2
- d = 3.086 Å, I 28, hkl 1 1 2
- d = 3.066 Å, I 54, hkl 1 2 -2
- d = 3.026 Å, I 27, hkl 2 1 -2
- d = 2.610 Å, I 13, hkl 2 2 0
- d = 2.111 Å, I 13, hkl 2 3 -2

Crystal structure
```
Li2MnVP4O14
1.0
7.069 0.000 0.000
0.000 8.337 0.000
-3.120 0.000 9.187
Li Mn V P O
4 2 2 8 28
direct
0.169 0.000 0.085 Li
0.173 0.999 0.591 Li
0.827 0.499 0.409 Li
0.831 0.500 0.915 Li
0.231 0.642 0.108 Mn
0.769 0.142 0.892 Mn
0.227 0.639 0.605 V
0.773 0.139 0.395 V
0.018 0.320 0.199 P
0.023 0.321 0.701 P
0.411 0.430 0.895 P
0.412 0.424 0.390 P
0.588 0.924 0.610 P
0.589 0.930 0.105 P
0.977 0.821 0.299 P
0.982 0.820 0.801 P
0.004 0.982 0.876 O
0.007 0.481 0.622 O
0.015 0.679 0.405 O
0.021 0.677 0.907 O
0.101 0.813 0.694 O
0.108 0.818 0.200 O
0.250 0.295 0.296 O
0.252 0.297 0.801 O
0.352 0.467 0.523 O
0.352 0.471 0.029 O
0.388 0.848 0.067 O
0.389 0.836 0.569 O
0.405 0.579 0.799 O
0.413 0.574 0.298 O
0.587 0.074 0.702 O
0.595 0.079 0.201 O
0.611 0.336 0.431 O
0.612 0.348 0.933 O
0.648 0.967 0.477 O
0.648 0.971 0.971 O
0.748 0.797 0.199 O
0.750 0.795 0.704 O
0.892 0.318 0.800 O
0.899 0.313 0.306 O
0.979 0.177 0.093 O
0.985 0.179 0.595 O
0.993 0.981 0.378 O
0.996 0.482 0.124 O
```